No. 1
Diffraction record for Pm6DyMg. The PXRD pattern is calculated, not measured: it uses DFT lattice parameters and positions (PBE) and a wavelength of 1.5418 Å.
Intensities are scaled so that the largest is 100.

Top 10 peaks for 2θ = 5–70°, low angle first:
(1 0 1), 17.99 deg, d = 4.930 Å, intensity 6
(1 0 3), 21.90 deg, d = 4.058 Å, intensity 3
(1 1 4), 30.52 deg, d = 2.929 Å, intensity 100
(2 0 0), 35.31 deg, d = 2.542 Å, intensity 34
(0 0 8), 35.54 deg, d = 2.526 Å, intensity 16
(2 2 0), 50.79 deg, d = 1.797 Å, intensity 12
(2 0 8), 50.97 deg, d = 1.792 Å, intensity 24
(3 1 4), 60.43 deg, d = 1.532 Å, intensity 29
(1 1 12), 60.74 deg, d = 1.525 Å, intensity 14
(2 2 8), 63.53 deg, d = 1.464 Å, intensity 12

Structural model:
```
data_Pm6DyMg
_chemical_formula_sum 'Pm12 Dy2 Mg2'
_cell_length_a 5.084
_cell_length_b 5.084
_cell_length_c 20.206
_cell_angle_alpha 90.00
_cell_angle_beta 90.00
_cell_angle_gamma 90.00
_symmetry_space_group_name_H-M 'I 4/m m m'
_symmetry_Int_Tables_number 139
_symmetry_space_group_name_Hall '-I 4 2'
loop_
_atom_site_label
_atom_site_type_symbol
_atom_site_fract_x
_atom_site_fract_y
_atom_site_fract_z
Pm1 Pm 0.000 0.000 0.248
Pm2 Pm 0.000 0.500 0.121
Dy1 Dy 0.000 0.000 0.000
Mg1 Mg 0.000 0.000 0.500
```

---

No. 2
Diffraction record for TaCrB. The PXRD pattern is calculated, not measured: it uses DFT lattice parameters and positions (PBE) and a wavelength of 1.5418 Å.
Intensities are scaled so that the largest is 100.

Top 10 peaks for 2θ = 5–70°, low angle first:
(0 0 1), 20.25 deg, d = 4.385 Å, intensity 23
(2 0 -1), 24.32 deg, d = 3.659 Å, intensity 46
(2 0 1), 28.99 deg, d = 3.081 Å, intensity 22
(1 1 0), 30.37 deg, d = 2.943 Å, intensity 23
(4 0 0), 34.99 deg, d = 2.565 Å, intensity 55
(1 1 1), 37.64 deg, d = 2.390 Å, intensity 100
(3 1 0), 39.43 deg, d = 2.285 Å, intensity 39
(2 0 -2), 41.93 deg, d = 2.155 Å, intensity 34
(3 1 -1), 42.44 deg, d = 2.130 Å, intensity 80
(5 1 1), 61.04 deg, d = 1.518 Å, intensity 18

Structural model:
```
data_TaCrB
_chemical_formula_sum 'Ta4 Cr4 B4'
_cell_length_a 10.414
_cell_length_b 3.072
_cell_length_c 4.451
_cell_angle_alpha 90.00
_cell_angle_beta 99.94
_cell_angle_gamma 90.00
_symmetry_space_group_name_H-M 'C 1 2/m 1'
_symmetry_Int_Tables_number 12
loop_
_symmetry_equiv_pos_as_xyz
'x,y,z'
'-x,-y,-z'
'-x,y,-z'
'x,-y,z'
'x+1/2,y+1/2,z'
'-x+1/2,-y+1/2,-z'
'-x+1/2,y+1/2,-z'
'x+1/2,-y+1/2,z'
loop_
_atom_site_label
_atom_site_type_symbol
_atom_site_fract_x
_atom_site_fract_y
_atom_site_fract_z
Ta1 Ta 0.130 0.000 0.334
Cr1 Cr 0.085 0.500 0.802
B1 B 0.231 0.000 0.885
```

---

No. 3
Diffraction record for TlHgPt. The PXRD pattern is calculated, not measured: it uses DFT lattice parameters and positions (PBE) and a wavelength of 1.5418 Å.
Intensities are scaled so that the largest is 100.

Top 10 peaks for 2θ = 5–70°, low angle first:
(0 2 0), 17.09 deg, d = 5.187 Å, intensity 32
(0 2 2), 27.38 deg, d = 3.257 Å, intensity 24
(1 1 1), 28.21 deg, d = 3.163 Å, intensity 42
(1 1 2), 33.87 deg, d = 2.646 Å, intensity 100
(0 4 0), 34.58 deg, d = 2.594 Å, intensity 54
(1 3 2), 42.10 deg, d = 2.146 Å, intensity 55
(0 0 4), 43.24 deg, d = 2.093 Å, intensity 30
(2 2 0), 53.66 deg, d = 1.708 Å, intensity 32
(1 5 2), 55.58 deg, d = 1.653 Å, intensity 25
(0 4 4), 56.51 deg, d = 1.629 Å, intensity 27

Structural model:
```
data_TlHgPt
_chemical_formula_sum 'Tl4 Hg4 Pt4'
_cell_length_a 3.618
_cell_length_b 10.374
_cell_length_c 8.370
_cell_angle_alpha 90.00
_cell_angle_beta 90.00
_cell_angle_gamma 90.00
_symmetry_space_group_name_H-M 'C c c m'
_symmetry_Int_Tables_number 66
_symmetry_space_group_name_Hall '-C 2 2c'
loop_
_atom_site_label
_atom_site_type_symbol
_atom_site_fract_x
_atom_site_fract_y
_atom_site_fract_z
Tl1 Tl 0.000 0.000 0.250
Hg1 Hg 0.250 0.250 0.000
Pt1 Pt 0.000 0.500 0.000
```

---

No. 4
Diffraction record for K3Os2PbO8. The PXRD pattern is calculated, not measured: it uses DFT lattice parameters and positions (PBE) and a wavelength of 1.5418 Å.
Intensities are scaled so that the largest is 100.

Top 10 peaks for 2θ = 5–70°, low angle first:
(1 0 1), 19.92 deg, d = 4.456 Å, intensity 100
(0 1 2), 27.75 deg, d = 3.215 Å, intensity 75
(1 1 0), 28.88 deg, d = 3.091 Å, intensity 82
(2 0 2), 40.48 deg, d = 2.228 Å, intensity 37
(1 1 3), 44.76 deg, d = 2.025 Å, intensity 16
(2 1 1), 46.26 deg, d = 1.962 Å, intensity 23
(1 0 4), 48.37 deg, d = 1.882 Å, intensity 13
(1 2 2), 50.49 deg, d = 1.808 Å, intensity 28
(3 0 0), 51.18 deg, d = 1.785 Å, intensity 17
(2 2 0), 59.84 deg, d = 1.546 Å, intensity 14

Structural model:
```
data_K3Os2PbO8
_chemical_formula_sum 'K3 Os2 Pb1 O8'
_cell_length_a 6.1823
_cell_length_b 6.1823
_cell_length_c 8.0396
_cell_angle_alpha 90.00
_cell_angle_beta 90.00
_cell_angle_gamma 120.00
_symmetry_space_group_name_H-M 'P -3 m 1'
_symmetry_Int_Tables_number 164
_symmetry_space_group_name_Hall '-P 3 2"'
loop_
_atom_site_label
_atom_site_type_symbol
_atom_site_fract_x
_atom_site_fract_y
_atom_site_fract_z
K1 K 0.0000 0.0000 0.0000
K2 K 0.3333 0.6667 0.6548
Os1 Os 0.3333 0.6667 0.1979
Pb1 Pb 0.0000 0.0000 0.5000
O1 O 0.1772 0.3544 0.2982
O2 O 0.3333 0.6667 0.9770
```

---

No. 5
Diffraction record for PaInGe2Rh5. The PXRD pattern is calculated, not measured: it uses DFT lattice parameters and positions (PBE) and a wavelength of 1.5418 Å.
Intensities are scaled so that the largest is 100.

Top 10 peaks for 2θ = 5–70°, low angle first:
(0 0 1), 10.01 deg, d = 8.840 Å, intensity 24
(1 0 2), 29.35 deg, d = 3.043 Å, intensity 17
(1 1 2), 36.47 deg, d = 2.463 Å, intensity 100
(0 0 4), 40.83 deg, d = 2.210 Å, intensity 11
(2 0 0), 43.12 deg, d = 2.098 Å, intensity 48
(1 1 3), 43.27 deg, d = 2.091 Å, intensity 25
(1 0 4), 46.44 deg, d = 1.955 Å, intensity 11
(2 0 4), 60.88 deg, d = 1.522 Å, intensity 14
(2 2 0), 62.62 deg, d = 1.483 Å, intensity 15
(2 1 4), 65.22 deg, d = 1.430 Å, intensity 8

Structural model:
```
data_PaInGe2Rh5
_chemical_formula_sum 'Pa1 In1 Ge2 Rh5'
_cell_length_a 4.196
_cell_length_b 4.196
_cell_length_c 8.840
_cell_angle_alpha 90.00
_cell_angle_beta 90.00
_cell_angle_gamma 90.00
_symmetry_space_group_name_H-M 'P 4/m m m'
_symmetry_Int_Tables_number 123
_symmetry_space_group_name_Hall '-P 4 2'
loop_
_atom_site_label
_atom_site_type_symbol
_atom_site_fract_x
_atom_site_fract_y
_atom_site_fract_z
Pa1 Pa 0.000 0.000 0.000
In1 In 0.000 0.000 0.500
Ge1 Ge 0.500 0.500 0.362
Rh1 Rh 0.000 0.500 0.226
Rh2 Rh 0.500 0.500 0.000
```

---

No. 6
Diffraction record for LiC. The PXRD pattern is calculated, not measured: it uses DFT lattice parameters and positions (PBE) and a wavelength of 1.5418 Å.
Intensities are scaled so that the largest is 100.

Top 10 peaks for 2θ = 5–70°, low angle first:
(0 1 1), 24.70 deg, d = 3.605 Å, intensity 72
(1 0 1), 29.66 deg, d = 3.012 Å, intensity 100
(0 0 2), 33.24 deg, d = 2.695 Å, intensity 9
(1 1 2), 45.92 deg, d = 1.976 Å, intensity 56
(2 0 0), 50.24 deg, d = 1.816 Å, intensity 16
(0 2 2), 50.64 deg, d = 1.802 Å, intensity 5
(0 1 3), 54.46 deg, d = 1.685 Å, intensity 6
(2 1 1), 56.77 deg, d = 1.622 Å, intensity 6
(1 0 3), 57.20 deg, d = 1.610 Å, intensity 6
(1 3 0), 62.95 deg, d = 1.477 Å, intensity 11

Structural model:
```
data_LiC
_chemical_formula_sum 'Li4 C4'
_cell_length_a 3.632
_cell_length_b 4.849
_cell_length_c 5.390
_cell_angle_alpha 90.00
_cell_angle_beta 90.00
_cell_angle_gamma 90.00
_symmetry_space_group_name_H-M 'I m m m'
_symmetry_Int_Tables_number 71
_symmetry_space_group_name_Hall '-I 2 2'
loop_
_atom_site_label
_atom_site_type_symbol
_atom_site_fract_x
_atom_site_fract_y
_atom_site_fract_z
Li1 Li 0.000 0.000 0.239
C1 C 0.000 0.370 0.000
```